Starting from the PBE+U geometry in the Materials Project, the PXRD pattern of MgV4FeNiO12 was calculated for Cu Kα, 1.54184 Å.

Principal peaks in the range 2θ from 10° to 80°, most intense first:
| 2theta | d/Å | intensity |
| --- | --- | --- |
| 27.9 | 3.193 | 100 |
| 13.4 | 6.625 | 40 |
| 28.5 | 3.135 | 40 |
| 35.7 | 2.518 | 35 |
| 51.8 | 1.765 | 21 |
| 54.1 | 1.694 | 20 |
| 36.3 | 2.476 | 20 |
| 19.0 | 4.665 | 16 |
| 41.7 | 2.167 | 12 |
| 20.2 | 4.399 | 11 |

Cell and atoms:
```
MgV4FeNiO12
1.0
5.523 -4.399 0.000
5.523 4.399 0.000
-2.277 0.000 5.037
Mg V Fe Ni O
1 4 1 1 12
direct
0.000 0.000 0.000
0.104 0.465 0.002
0.336 0.114 0.535
0.535 0.896 0.998
0.886 0.664 0.465
0.627 0.373 0.000
0.804 0.196 0.500
0.030 0.664 0.850
0.072 0.141 0.405
0.126 0.571 0.338
0.321 0.318 0.920
0.336 0.970 0.150
0.429 0.874 0.662
0.536 0.251 0.594
0.682 0.679 0.080
0.705 0.072 0.096
0.749 0.464 0.406
0.859 0.928 0.595
0.928 0.295 0.904
```

Starting from the PBE+U geometry in the Materials Project, the PXRD pattern of MgV4FeNiO12 was calculated for Cu Kα, 1.54184 Å.

Principal peaks in the range 2θ from 10° to 80°, most intense first:
| 2theta | d/Å | intensity |
| --- | --- | --- |
| 27.9 | 3.196 | 100 |
| 28.2 | 3.160 | 86 |
| 33.7 | 2.661 | 82 |
| 28.8 | 3.104 | 74 |
| 13.6 | 6.497 | 59 |
| 20.2 | 4.399 | 39 |
| 18.8 | 4.712 | 31 |
| 29.2 | 3.060 | 30 |
| 52.8 | 1.733 | 28 |
| 39.2 | 2.297 | 25 |

Cell and atoms:
```
MgV4FeNiO12
1.0
5.760 0.000 0.000
2.168 6.540 0.000
1.897 0.765 6.640
Mg V Fe Ni O
1 4 1 1 12
direct
0.000 0.000 0.000
0.005 0.554 0.854
0.046 0.083 0.463
0.545 0.340 0.046
0.552 0.885 0.653
0.551 0.782 0.181
0.058 0.626 0.336
0.034 0.332 0.393
0.094 0.647 0.610
0.144 0.926 0.253
0.216 0.996 0.696
0.337 0.389 0.896
0.440 0.508 0.229
0.602 0.081 0.140
0.616 0.724 0.870
0.660 0.742 0.454
0.718 0.068 0.608
0.875 0.317 0.927
0.956 0.710 0.062
```